No. 1
Structure and computed X-ray powder pattern of RbHoSe (a structure optimized by DFT (PBE); CuKα).

Structural model:
```
data_RbHoSe
_chemical_formula_sum 'Rb2 Ho2 Se2'
_cell_length_a 4.9465
_cell_length_b 4.9465
_cell_length_c 11.3596
_cell_angle_alpha 90.00
_cell_angle_beta 90.00
_cell_angle_gamma 90.00
_space_group_name_H-M_alt 'P 4/n m m'
_space_group_IT_number 129
loop_
_space_group_symop_operation_xyz
'x,y,z'
'-x,-y,-z'
'-y+1/2,x,z'
'y+1/2,-x,-z'
'-x+1/2,-y+1/2,z'
'x+1/2,y+1/2,-z'
'y,-x+1/2,z'
'-y,x+1/2,-z'
'x+1/2,-y,-z'
'-x+1/2,y,z'
'-y,-x,-z'
'y,x,z'
'-x,y+1/2,-z'
'x,-y+1/2,z'
'y+1/2,x+1/2,-z'
'-y+1/2,-x+1/2,z'
loop_
_atom_site_label
_atom_site_fract_x
_atom_site_fract_y
_atom_site_fract_z
Rb1 0.2500 0.2500 0.1711
Ho1 0.2500 0.7500 0.5000
Se1 0.2500 0.2500 0.6193
```

Principal peaks in the range 2θ = 10–90°, by angle:
hkl	2θ (°)	d (Å)	I/Imax
0 0 2	15.60	5.680	41.0
0 0 3	23.49	3.787	43.5
1 0 2	23.85	3.730	100.0
1 1 1	26.67	3.343	67.6
1 1 2	30.00	2.978	99.3
2 0 0	36.32	2.473	77.2
2 0 1	37.21	2.417	43.3
1 1 4	40.93	2.205	78.0
2 1 2	43.92	2.061	38.5
1 1 5	47.74	1.905	51.9

---

No. 2
Structure and computed X-ray powder pattern of Rb2SmHoSe4 (a structure optimized by DFT (PBE); CuKα).

Structural model:
```
data_Rb2SmHoSe4
_chemical_formula_sum 'Rb2 Sm1 Ho1 Se4'
_cell_length_a 7.4065
_cell_length_b 4.2762
_cell_length_c 8.3755
_cell_angle_alpha 90.00
_cell_angle_beta 107.13
_cell_angle_gamma 90.00
_space_group_name_H-M_alt 'P 1 2/m 1'
_space_group_IT_number 10
loop_
_space_group_symop_operation_xyz
'x,y,z'
'-x,-y,-z'
'-x,y,-z'
'x,-y,z'
loop_
_atom_site_label
_atom_site_fract_x
_atom_site_fract_y
_atom_site_fract_z
Rb1 0.0000 0.0000 0.0000
Rb2 0.5000 0.5000 0.0000
Sm1 0.0000 0.5000 0.5000
Ho1 0.5000 0.0000 0.5000
Se1 0.2381 0.0000 0.6980
Se2 0.2735 0.5000 0.3043
```

Principal peaks in the range 2θ = 10–90°, by angle:
hkl	2θ (°)	d (Å)	I/Imax
0 0 1	11.05	8.004	28.5
1 1 1	28.32	3.152	100.0
1 1 2	35.68	2.517	11.9
2 0 2	38.61	2.332	34.1
0 2 0	42.27	2.138	36.1
2 2 -2	51.66	1.769	18.4
2 2 2	58.58	1.576	10.0
3 1 3	63.70	1.461	10.4
1 3 1	68.88	1.363	15.5
1 3 -3	74.85	1.269	9.7

---

No. 3
Structure and computed X-ray powder pattern of Rb3Ho2ThSe6 (a structure optimized by DFT (PBE); CuKα).

Structural model:
```
data_Rb3Ho2ThSe6
_chemical_formula_sum 'Rb6 Ho4 Th2 Se12'
_cell_length_a 7.3466
_cell_length_b 12.7243
_cell_length_c 8.4095
_cell_angle_alpha 90.00
_cell_angle_beta 106.95
_cell_angle_gamma 90.00
_space_group_name_H-M_alt 'C 1 2/m 1'
_space_group_IT_number 12
loop_
_space_group_symop_operation_xyz
'x,y,z'
'-x,-y,-z'
'-x,y,-z'
'x,-y,z'
'x+1/2,y+1/2,z'
'-x+1/2,-y+1/2,-z'
'-x+1/2,y+1/2,-z'
'x+1/2,-y+1/2,z'
loop_
_atom_site_label
_atom_site_fract_x
_atom_site_fract_y
_atom_site_fract_z
Rb1 0.0000 0.0000 0.0000
Rb2 0.0000 0.3339 0.0000
Ho1 0.0000 0.1667 0.5000
Th1 0.0000 0.5000 0.5000
Se1 0.2284 0.0000 0.6986
Se2 0.2352 0.3311 0.6987
```

Principal peaks in the range 2θ = 10–90°, by angle:
hkl	2θ (°)	d (Å)	I/Imax
0 0 1	11.00	8.044	36.1
1 3 1	28.45	3.137	100.0
1 3 2	35.72	2.514	13.4
2 0 2	38.62	2.331	35.7
0 6 0	42.63	2.121	35.5
4 0 0	52.05	1.757	18.5
2 6 2	58.87	1.569	10.4
3 3 3	63.78	1.459	11.6
4 6 0	69.47	1.353	15.5
5 3 1	75.36	1.261	10.1

---

No. 4
Structure and computed X-ray powder pattern of Rb2Ho2ZrSe6 (a structure optimized by DFT (PBE); CuKα).

Structural model:
```
data_Rb2Ho2ZrSe6
_chemical_formula_sum 'Rb4 Ho4 Zr2 Se12'
_cell_length_a 7.0762
_cell_length_b 12.1864
_cell_length_c 8.5497
_cell_angle_alpha 90.00
_cell_angle_beta 106.41
_cell_angle_gamma 90.00
_space_group_name_H-M_alt 'C 1 2/m 1'
_space_group_IT_number 12
loop_
_space_group_symop_operation_xyz
'x,y,z'
'-x,-y,-z'
'-x,y,-z'
'x,-y,z'
'x+1/2,y+1/2,z'
'-x+1/2,-y+1/2,-z'
'-x+1/2,y+1/2,-z'
'x+1/2,-y+1/2,z'
loop_
_atom_site_label
_atom_site_fract_x
_atom_site_fract_y
_atom_site_fract_z
Rb1 0.0000 0.1696 0.0000
Ho1 0.0000 0.3330 0.5000
Zr1 0.0000 0.0000 0.5000
Se1 0.2258 0.1593 0.6906
Se2 0.2453 0.5000 0.6894
```

Principal peaks in the range 2θ = 10–90°, by angle:
hkl	2θ (°)	d (Å)	I/Imax
0 0 1	10.79	8.201	86.0
2 0 -2	29.03	3.076	49.2
1 3 1	29.26	3.052	100.0
1 3 2	36.16	2.484	20.0
1 3 -3	38.81	2.321	32.9
2 0 2	38.93	2.313	16.5
3 3 -1	44.41	2.040	33.9
0 6 0	44.61	2.031	16.7
4 0 0	54.08	1.696	25.3
1 3 -5	58.58	1.576	13.5

---

No. 5
Structure and computed X-ray powder pattern of Rb3HoTh3Te8 (a structure optimized by DFT (PBE); CuKα).

Structural model:
```
data_Rb3HoTh3Te8
_chemical_formula_sum 'Rb9 Ho3 Th9 Te24'
_cell_length_a 8.9432
_cell_length_b 8.9432
_cell_length_c 26.6869
_cell_angle_alpha 90.00
_cell_angle_beta 90.00
_cell_angle_gamma 120.00
_space_group_name_H-M_alt 'R -3 m'
_space_group_IT_number 166
_space_group_name_Hall '-R 3 2"'
loop_
_atom_site_label
_atom_site_fract_x
_atom_site_fract_y
_atom_site_fract_z
Rb1 0.0000 0.5000 0.0000
Ho1 0.0000 0.0000 0.5000
Th1 0.0000 0.5000 0.5000
Te1 0.0000 0.0000 0.2370
Te2 0.0044 0.5022 0.2341
```

Principal peaks in the range 2θ = 10–90°, by angle:
hkl	2θ (°)	d (Å)	I/Imax
0 2 4	26.62	3.349	100.0
0 2 7	32.97	2.717	19.8
2 0 8	35.52	2.527	38.4
2 2 0	40.34	2.236	35.8
2 2 3	41.65	2.168	11.0
2 0 11	44.05	2.056	13.1
4 0 4	48.99	1.860	18.9
0 4 8	54.82	1.675	11.2
2 2 12	58.54	1.577	12.5
2 4 4	65.26	1.430	16.0

---

No. 6
Structure and computed X-ray powder pattern of Rb4Y3HoTe8 (a structure optimized by DFT (PBE); CuKα).

Structural model:
```
data_Rb4Y3HoTe8
_chemical_formula_sum 'Rb12 Y9 Ho3 Te24'
_cell_length_a 9.0485
_cell_length_b 9.0485
_cell_length_c 25.6445
_cell_angle_alpha 90.00
_cell_angle_beta 90.00
_cell_angle_gamma 120.00
_space_group_name_H-M_alt 'R -3 m'
_space_group_IT_number 166
_space_group_name_Hall '-R 3 2"'
loop_
_atom_site_label
_atom_site_fract_x
_atom_site_fract_y
_atom_site_fract_z
Rb1 0.0000 0.0000 0.0000
Rb2 0.0000 0.5000 0.0000
Y1 0.0000 0.5000 0.5000
Ho1 0.0000 0.0000 0.5000
Te1 0.0000 0.0000 0.2333
Te2 0.0012 0.5006 0.2331
```

Principal peaks in the range 2θ = 10–90°, by angle:
hkl	2θ (°)	d (Å)	I/Imax
0 0 3	10.35	8.548	16.4
0 2 4	26.66	3.343	100.0
0 2 7	33.49	2.676	11.1
2 0 8	36.21	2.481	32.2
2 2 0	39.85	2.262	37.4
2 0 11	45.26	2.003	8.4
4 0 4	48.60	1.874	19.0
0 4 8	54.93	1.672	9.5
2 4 4	64.59	1.443	16.0
4 2 8	69.98	1.344	9.1

---

No. 7
Structure and computed X-ray powder pattern of HoRe6 (a structure optimized by DFT (PBE); CuKα).

Structural model:
```
data_HoRe6
_chemical_formula_sum 'Ho4 Re24'
_cell_length_a 8.4863
_cell_length_b 5.2240
_cell_length_c 10.8424
_cell_angle_alpha 90.00
_cell_angle_beta 90.00
_cell_angle_gamma 90.00
_space_group_name_H-M_alt 'P n m a'
_space_group_IT_number 62
loop_
_space_group_symop_operation_xyz
'x,y,z'
'-x,-y,-z'
'-x+1/2,-y,z+1/2'
'x+1/2,y,-z+1/2'
'x+1/2,-y+1/2,-z+1/2'
'-x+1/2,y+1/2,z+1/2'
'-x,y+1/2,-z'
'x,-y+1/2,z'
loop_
_atom_site_label
_atom_site_fract_x
_atom_site_fract_y
_atom_site_fract_z
Ho1 0.2324 0.2500 0.0563
Re1 0.0726 0.0085 0.3070
Re2 0.0827 0.2500 0.5215
Re3 0.0828 0.7500 0.0816
Re4 0.1399 0.7500 0.8497
Re5 0.1815 0.2500 0.7567
```

Principal peaks in the range 2θ = 10–90°, by angle:
hkl	2θ (°)	d (Å)	I/Imax
0 2 0	34.33	2.612	29.1
1 0 4	34.74	2.582	62.3
2 1 3	36.93	2.434	66.3
3 1 1	37.08	2.425	100.0
0 2 2	38.25	2.353	28.5
2 2 1	41.44	2.179	58.4
1 0 5	43.05	2.101	35.4
2 1 4	43.23	2.093	54.5
4 0 1	43.46	2.082	39.0
1 2 3	44.07	2.055	81.5

---

No. 8
Structure and computed X-ray powder pattern of HoReTc (a structure optimized by DFT (PBE); CuKα).

Structural model:
```
data_HoReTc
_chemical_formula_sum 'Ho8 Re8 Tc8'
_cell_length_a 8.7325
_cell_length_b 5.3895
_cell_length_c 9.4307
_cell_angle_alpha 90.00
_cell_angle_beta 90.00
_cell_angle_gamma 90.00
_space_group_name_H-M_alt 'A m m 2'
_space_group_IT_number 38
loop_
_space_group_symop_operation_xyz
'x,y,z'
'-x,-y,z'
'-x,y,z'
'x,-y,z'
'x,y+1/2,z+1/2'
'-x,-y+1/2,z+1/2'
'-x,y+1/2,z+1/2'
'x,-y+1/2,z+1/2'
loop_
_atom_site_label
_atom_site_fract_x
_atom_site_fract_y
_atom_site_fract_z
Ho1 0.1882 0.0000 0.0000
Ho2 0.3121 0.0000 0.3331
Re1 0.0000 0.2439 0.2509
Re2 0.2511 0.0000 0.6671
Tc1 0.0000 0.0000 0.4939
Tc2 0.5000 0.0000 0.8376
Tc3 0.5000 0.2417 0.0808
```

Principal peaks in the range 2θ = 10–90°, by angle:
hkl	2θ (°)	d (Å)	I/Imax
0 1 3	32.99	2.715	49.8
3 0 2	36.31	2.474	99.8
2 1 3	39.06	2.306	100.0
2 2 0	39.29	2.293	66.4
1 0 4	39.59	2.276	35.4
1 2 2	39.89	2.260	69.0
4 0 0	41.36	2.183	26.4
2 3 3	63.32	1.469	24.4
5 2 2	66.85	1.400	27.4
0 2 6	69.20	1.358	27.8

---

No. 9
Structure and computed X-ray powder pattern of Ho4Rh (a structure optimized by DFT (PBE); CuKα).

Structural model:
```
data_Ho4Rh
_chemical_formula_sum 'Ho16 Rh4'
_cell_length_a 8.5560
_cell_length_b 8.5560
_cell_length_c 7.8834
_cell_angle_alpha 90.00
_cell_angle_beta 90.00
_cell_angle_gamma 90.00
_space_group_name_H-M_alt 'I -4 2 d'
_space_group_IT_number 122
_space_group_name_Hall 'I -4 2bw'
loop_
_atom_site_label
_atom_site_fract_x
_atom_site_fract_y
_atom_site_fract_z
Ho1 0.0280 0.1993 0.3362
Rh1 0.0000 0.0000 0.0000
```

Principal peaks in the range 2θ = 10–90°, by angle:
hkl	2θ (°)	d (Å)	I/Imax
2 2 0	29.53	3.025	33.0
2 0 2	30.85	2.899	100.0
3 0 1	33.41	2.682	51.9
1 0 3	35.74	2.512	35.9
3 2 1	39.66	2.272	30.4
3 1 2	40.44	2.231	17.9
4 0 0	42.25	2.139	17.1
3 2 3	51.92	1.761	15.4
4 3 1	54.90	1.672	21.5
2 1 5	63.85	1.458	13.4

---

No. 10
Structure and computed X-ray powder pattern of Ho3Rh (a structure optimized by DFT (PBE); CuKα).

Structural model:
```
data_Ho3Rh
_chemical_formula_sum 'Ho24 Rh8'
_cell_length_a 11.6164
_cell_length_b 11.6164
_cell_length_c 6.0924
_cell_angle_alpha 90.00
_cell_angle_beta 90.00
_cell_angle_gamma 90.00
_space_group_name_H-M_alt 'I -4 2 m'
_space_group_IT_number 121
_space_group_name_Hall 'I -4 2'
loop_
_atom_site_label
_atom_site_fract_x
_atom_site_fract_y
_atom_site_fract_z
Ho1 0.0000 0.3580 0.0000
Ho2 0.0949 0.0949 0.7497
Ho3 0.2032 0.2032 0.3036
Rh1 0.0000 0.2948 0.5000
```

Principal peaks in the range 2θ = 10–90°, by angle:
hkl	2θ (°)	d (Å)	I/Imax
1 1 2	31.37	2.852	100.0
3 3 0	32.71	2.738	31.2
4 2 0	34.53	2.598	21.7
4 1 1	35.09	2.557	56.0
2 2 2	36.73	2.447	23.5
3 3 2	44.54	2.034	15.6
6 1 1	50.05	1.822	11.7
3 2 3	53.32	1.718	15.7
6 0 2	56.30	1.634	11.9
5 5 2	64.45	1.446	12.0

---

No. 11
Structure and computed X-ray powder pattern of Ho6Ru2Rh (a structure optimized by DFT (PBE); CuKα).

Structural model:
```
data_Ho6Ru2Rh
_chemical_formula_sum 'Ho24 Ru8 Rh4'
_cell_length_a 4.7840
_cell_length_b 12.9583
_cell_length_c 14.3541
_cell_angle_alpha 90.00
_cell_angle_beta 90.00
_cell_angle_gamma 90.00
_space_group_name_H-M_alt 'F m m m'
_space_group_IT_number 69
_space_group_name_Hall '-F 2 2'
loop_
_atom_site_label
_atom_site_fract_x
_atom_site_fract_y
_atom_site_fract_z
Ho1 0.0000 0.1283 0.0000
Ho2 0.0000 0.1282 0.3321
Ru1 0.0000 0.0000 0.1661
Rh1 0.0000 0.0000 0.5000
```

Principal peaks in the range 2θ = 10–90°, by angle:
hkl	2θ (°)	d (Å)	I/Imax
1 1 3	27.24	3.273	20.6
0 4 0	27.53	3.240	16.7
1 3 3	33.65	2.663	100.0
2 0 0	37.60	2.392	56.4
1 5 3	44.01	2.057	37.6
2 4 0	47.23	1.924	15.7
2 0 6	54.23	1.692	19.6
3 3 3	65.35	1.428	29.1
2 8 0	70.17	1.341	17.7
3 5 3	72.32	1.307	17.1

---

No. 12
Structure and computed X-ray powder pattern of Ho6RuRh3 (a structure optimized by DFT (PBE); CuKα).

Structural model:
```
data_Ho6RuRh3
_chemical_formula_sum 'Ho12 Ru2 Rh6'
_cell_length_a 8.1454
_cell_length_b 11.9774
_cell_length_c 4.7204
_cell_angle_alpha 90.00
_cell_angle_beta 90.00
_cell_angle_gamma 90.00
_space_group_name_H-M_alt 'P n n m'
_space_group_IT_number 58
loop_
_space_group_symop_operation_xyz
'x,y,z'
'-x,-y,-z'
'-x,-y,z'
'x,y,-z'
'x+1/2,-y+1/2,-z+1/2'
'-x+1/2,y+1/2,z+1/2'
'-x+1/2,y+1/2,-z+1/2'
'x+1/2,-y+1/2,z+1/2'
loop_
_atom_site_label
_atom_site_fract_x
_atom_site_fract_y
_atom_site_fract_z
Ho1 0.0026 0.2465 0.0000
Ho2 0.1596 0.4121 0.5000
Ho3 0.1733 0.0797 0.5000
Ru1 0.0000 0.5000 0.0000
Rh1 0.0000 0.0000 0.0000
Rh2 0.1645 0.8361 0.5000
```

Principal peaks in the range 2θ = 10–90°, by angle:
hkl	2θ (°)	d (Å)	I/Imax
2 2 0	26.43	3.372	20.5
1 3 1	31.35	2.854	80.4
1 4 1	37.25	2.414	95.6
0 0 2	38.13	2.360	50.8
3 0 1	38.24	2.354	100.0
2 5 0	43.82	2.066	20.3
2 4 2	54.38	1.687	20.8
2 8 0	66.53	1.406	15.8
4 4 2	68.48	1.370	20.9
3 0 3	68.98	1.361	17.6

---

No. 13
Structure and computed X-ray powder pattern of Ho5RhS4 (a structure optimized by DFT (PBE); CuKα).

Structural model:
```
data_Ho5RhS4
_chemical_formula_sum 'Ho10 Rh2 S8'
_cell_length_a 3.9106
_cell_length_b 3.9106
_cell_length_c 27.8627
_cell_angle_alpha 90.00
_cell_angle_beta 90.00
_cell_angle_gamma 90.00
_space_group_name_H-M_alt 'I 4/m m m'
_space_group_IT_number 139
_space_group_name_Hall '-I 4 2'
loop_
_atom_site_label
_atom_site_fract_x
_atom_site_fract_y
_atom_site_fract_z
Ho1 0.0000 0.0000 0.0000
Ho2 0.0000 0.0000 0.2030
Ho3 0.0000 0.0000 0.4011
Rh1 0.0000 0.0000 0.5000
S1 0.0000 0.0000 0.1041
S2 0.0000 0.0000 0.3019
```

Principal peaks in the range 2θ = 10–90°, by angle:
hkl	2θ (°)	d (Å)	I/Imax
1 0 5	27.87	3.201	85.5
0 0 10	32.12	2.786	51.1
1 1 0	32.38	2.765	100.0
1 1 10	46.26	1.963	72.0
2 0 0	46.44	1.955	36.2
2 1 5	55.03	1.669	27.8
2 0 10	57.59	1.601	37.7
2 2 10	76.99	1.239	16.0
3 1 0	77.13	1.237	16.1
3 1 10	86.01	1.130	24.6